The following is a theoretical PXRD pattern of K3LuSi2O7. It was derived from the PBE geometry in the Materials Project, using Cu Kα, 1.54184 Å.

Structural model:
Cell lengths 5.765, 5.765, 14.064 Å; angles 90.00, 90.00, 120.00 degrees
Positions (direct):
K: 0.000 0.000 0.250
K: 0.000 0.000 0.750
K: 0.333 0.667 0.092
K: 0.333 0.667 0.408
K: 0.667 0.333 0.592
K: 0.667 0.333 0.908
Lu: 0.000 0.000 0.000
Lu: 0.000 0.000 0.500
Si: 0.333 0.667 0.631
Si: 0.333 0.667 0.869
Si: 0.667 0.333 0.131
Si: 0.667 0.333 0.369
O: 0.177 0.355 0.595
O: 0.177 0.355 0.905
O: 0.177 0.823 0.595
O: 0.177 0.823 0.905
O: 0.333 0.667 0.750
O: 0.355 0.177 0.095
O: 0.355 0.177 0.405
O: 0.645 0.823 0.595
O: 0.645 0.823 0.905
O: 0.667 0.333 0.250
O: 0.823 0.177 0.095
O: 0.823 0.177 0.405
O: 0.823 0.645 0.095
O: 0.823 0.645 0.405

Main lines, by angle (2θ = 10–90°):
- 2θ = 12.59°, intensity 37.9
- 2θ = 17.76°, intensity 32.0
- 2θ = 21.83°, intensity 32.0
- 2θ = 31.07°, intensity 100.0
- 2θ = 33.60°, intensity 11.5
- 2θ = 42.61°, intensity 9.4
- 2θ = 44.51°, intensity 25.7
- 2θ = 55.23°, intensity 26.7
- 2θ = 64.67°, intensity 8.9
- 2θ = 73.50°, intensity 8.7



The following is a theoretical PXRD pattern of KLuTa2O7. It was derived from the PBE geometry in the Materials Project, using Cu Kα, 1.54184 Å.

Structural model:
Cell lengths 7.508, 7.508, 7.508 Å; angles 121.22, 120.18, 88.79 degrees
Positions (direct):
K: 0.500 0.000 0.000
K: 0.500 0.500 0.500
Lu: 0.000 0.000 0.000
Lu: 0.500 0.000 0.500
Ta: 0.000 0.000 0.500
Ta: 0.000 0.500 0.000
Ta: 0.000 0.500 0.500
Ta: 0.500 0.500 0.000
O: 0.057 0.422 0.238
O: 0.057 0.820 0.635
O: 0.066 0.816 0.250
O: 0.308 0.558 0.750
O: 0.316 0.180 0.738
O: 0.316 0.578 0.135
O: 0.334 0.084 0.250
O: 0.666 0.916 0.750
O: 0.684 0.422 0.865
O: 0.684 0.820 0.262
O: 0.692 0.442 0.250
O: 0.934 0.184 0.750
O: 0.943 0.180 0.365
O: 0.943 0.578 0.762

Main lines, by angle (2θ = 10–90°):
- 2θ = 14.43°, intensity 38.9
- 2θ = 28.25°, intensity 15.0
- 2θ = 29.09°, intensity 97.9
- 2θ = 29.41°, intensity 100.0
- 2θ = 33.41°, intensity 26.3
- 2θ = 34.14°, intensity 47.1
- 2θ = 48.51°, intensity 56.3
- 2θ = 57.08°, intensity 15.4
- 2θ = 57.87°, intensity 29.8
- 2θ = 58.42°, intensity 27.5



The following is a theoretical PXRD pattern of KMg3. It was derived from the PBE geometry in the Materials Project, using Cu Kα, 1.54184 Å.

Structural model:
Cell lengths 5.302, 5.302, 8.497 Å; angles 90.00, 90.00, 90.00 degrees
Positions (direct):
K: 0.000 0.000 0.000
K: 0.500 0.500 0.500
Mg: 0.000 0.000 0.500
Mg: 0.000 0.500 0.250
Mg: 0.000 0.500 0.750
Mg: 0.500 0.000 0.250
Mg: 0.500 0.000 0.750
Mg: 0.500 0.500 0.000

Main lines, by angle (2θ = 10–90°):
- 2θ = 19.74°, intensity 6.0
- 2θ = 31.83°, intensity 100.0
- 2θ = 33.81°, intensity 42.2
- 2θ = 42.56°, intensity 10.7
- 2θ = 48.57°, intensity 14.1
- 2θ = 55.42°, intensity 18.5
- 2θ = 59.25°, intensity 29.8
- 2θ = 66.52°, intensity 10.2
- 2θ = 71.15°, intensity 12.4
- 2θ = 80.03°, intensity 5.7



The following is a theoretical PXRD pattern of K3Mg. It was derived from the PBE geometry in the Materials Project, using Cu Kα, 1.54184 Å.

Structural model:
Cell lengths 9.535, 9.535, 9.535 Å; angles 90.00, 90.00, 90.00 degrees
Positions (direct):
K: 0.000 0.000 0.000
K: 0.000 0.500 0.500
K: 0.250 0.250 0.250
K: 0.250 0.250 0.750
K: 0.250 0.750 0.250
K: 0.250 0.750 0.750
K: 0.500 0.000 0.500
K: 0.500 0.500 0.000
K: 0.750 0.250 0.250
K: 0.750 0.250 0.750
K: 0.750 0.750 0.250
K: 0.750 0.750 0.750
Mg: 0.000 0.000 0.500
Mg: 0.000 0.500 0.000
Mg: 0.500 0.000 0.000
Mg: 0.500 0.500 0.500

Main lines, by angle (2θ = 10–90°):
- 2θ = 16.10°, intensity 2.4
- 2θ = 26.44°, intensity 100.0
- 2θ = 37.74°, intensity 17.9
- 2θ = 46.67°, intensity 36.6
- 2θ = 54.44°, intensity 11.0
- 2θ = 61.51°, intensity 14.6
- 2θ = 68.14°, intensity 3.5
- 2θ = 74.47°, intensity 15.7
- 2θ = 80.61°, intensity 1.6
- 2θ = 86.64°, intensity 7.7



The following is a theoretical PXRD pattern of K3Mg. It was derived from the PBE geometry in the Materials Project, using Cu Kα, 1.54184 Å.

Structural model:
Cell lengths 6.025, 6.025, 6.025 Å; angles 90.00, 90.00, 90.00 degrees
Positions (direct):
K: 0.000 0.000 0.500
K: 0.000 0.500 0.000
K: 0.500 0.000 0.000
Mg: 0.500 0.500 0.500

Main lines, by angle (2θ = 10–90°):
- 2θ = 25.61°, intensity 100.0
- 2θ = 29.65°, intensity 50.2
- 2θ = 42.43°, intensity 34.2
- 2θ = 50.22°, intensity 39.6
- 2θ = 52.62°, intensity 11.3
- 2θ = 61.56°, intensity 5.0
- 2θ = 67.79°, intensity 14.6
- 2θ = 69.81°, intensity 13.2
- 2θ = 77.63°, intensity 9.5
- 2θ = 83.34°, intensity 10.4



The following is a theoretical PXRD pattern of KMg3. It was derived from the PBE geometry in the Materials Project, using Cu Kα, 1.54184 Å.

Structural model:
Cell lengths 3.242, 5.270, 7.279 Å; angles 90.00, 90.00, 90.00 degrees
Positions (direct):
K: 0.000 0.000 0.000
Mg: 0.000 0.500 0.654
Mg: 0.500 0.000 0.509
Mg: 0.500 0.500 0.276

Main lines, by angle (2θ = 10–90°):
- 2θ = 20.81°, intensity 29.0
- 2θ = 29.84°, intensity 95.3
- 2θ = 30.18°, intensity 47.2
- 2θ = 34.02°, intensity 45.1
- 2θ = 34.75°, intensity 100.0
- 2θ = 37.10°, intensity 18.5
- 2θ = 46.11°, intensity 26.9
- 2θ = 46.77°, intensity 16.5
- 2θ = 61.36°, intensity 17.0
- 2θ = 65.48°, intensity 17.0



The following is a theoretical PXRD pattern of K3Mg. It was derived from the PBE geometry in the Materials Project, using Cu Kα, 1.54184 Å.

Structural model:
Cell lengths 8.636, 8.636, 6.816 Å; angles 90.00, 90.00, 120.00 degrees
Positions (direct):
K: 0.175 0.350 0.250
K: 0.175 0.825 0.250
K: 0.350 0.175 0.750
K: 0.650 0.825 0.250
K: 0.825 0.175 0.750
K: 0.825 0.650 0.750
Mg: 0.333 0.667 0.750
Mg: 0.667 0.333 0.250

Main lines, by angle (2θ = 10–90°):
- 2θ = 23.80°, intensity 23.8
- 2θ = 26.15°, intensity 25.2
- 2θ = 27.20°, intensity 100.0
- 2θ = 35.64°, intensity 15.4
- 2θ = 41.84°, intensity 18.0
- 2θ = 46.79°, intensity 19.6
- 2θ = 50.01°, intensity 20.2
- 2θ = 50.63°, intensity 14.3
- 2θ = 67.71°, intensity 10.2
- 2θ = 70.39°, intensity 6.5



The following is a theoretical PXRD pattern of KMg3. It was derived from the PBE geometry in the Materials Project, using Cu Kα, 1.54184 Å.

Structural model:
Cell lengths 7.815, 7.815, 7.815 Å; angles 90.00, 90.00, 90.00 degrees
Positions (direct):
K: 0.000 0.000 0.000
K: 0.000 0.500 0.500
K: 0.500 0.000 0.500
K: 0.500 0.500 0.000
Mg: 0.000 0.000 0.500
Mg: 0.000 0.500 0.000
Mg: 0.250 0.250 0.250
Mg: 0.250 0.250 0.750
Mg: 0.250 0.750 0.250
Mg: 0.250 0.750 0.750
Mg: 0.500 0.000 0.000
Mg: 0.500 0.500 0.500
Mg: 0.750 0.250 0.250
Mg: 0.750 0.250 0.750
Mg: 0.750 0.750 0.250
Mg: 0.750 0.750 0.750

Main lines, by angle (2θ = 10–90°):
- 2θ = 19.67°, intensity 4.3
- 2θ = 22.76°, intensity 2.2
- 2θ = 32.40°, intensity 100.0
- 2θ = 38.19°, intensity 1.8
- 2θ = 46.48°, intensity 17.1
- 2θ = 50.93°, intensity 0.6
- 2θ = 57.79°, intensity 34.0
- 2θ = 67.84°, intensity 10.1
- 2θ = 77.20°, intensity 13.4
- 2θ = 86.22°, intensity 3.3



The following is a theoretical PXRD pattern of KMg6Mn. It was derived from the PBE geometry in the Materials Project, using Cu Kα, 1.54184 Å.

Structural model:
Cell lengths 5.221, 6.769, 11.438 Å; angles 90.00, 90.00, 90.00 degrees
Positions (direct):
K: 0.000 0.000 0.000
K: 0.000 0.500 0.500
Mg: 0.000 0.247 0.747
Mg: 0.000 0.253 0.247
Mg: 0.000 0.747 0.247
Mg: 0.000 0.753 0.747
Mg: 0.500 0.000 0.338
Mg: 0.500 0.000 0.822
Mg: 0.500 0.226 0.584
Mg: 0.500 0.274 0.084
Mg: 0.500 0.500 0.322
Mg: 0.500 0.500 0.838
Mg: 0.500 0.726 0.084
Mg: 0.500 0.774 0.584
Mn: 0.000 0.000 0.503
Mn: 0.000 0.500 0.003

Main lines, by angle (2θ = 10–90°):
- 2θ = 30.69°, intensity 25.9
- 2θ = 31.28°, intensity 13.5
- 2θ = 34.35°, intensity 35.9
- 2θ = 35.28°, intensity 100.0
- 2θ = 35.80°, intensity 46.7
- 2θ = 46.73°, intensity 15.4
- 2θ = 55.31°, intensity 16.0
- 2θ = 62.13°, intensity 17.2
- 2θ = 65.76°, intensity 8.8
- 2θ = 66.72°, intensity 29.7



The following is a theoretical PXRD pattern of KMg14Mn. It was derived from the PBE geometry in the Materials Project, using Cu Kα, 1.54184 Å.

Structural model:
Cell lengths 6.468, 6.468, 10.198 Å; angles 90.00, 90.00, 120.00 degrees
Positions (direct):
K: 0.000 0.000 0.000
Mg: 0.010 0.505 0.000
Mg: 0.163 0.326 0.275
Mg: 0.163 0.326 0.725
Mg: 0.163 0.837 0.275
Mg: 0.163 0.837 0.725
Mg: 0.495 0.505 0.000
Mg: 0.495 0.990 0.000
Mg: 0.504 0.008 0.500
Mg: 0.504 0.496 0.500
Mg: 0.667 0.333 0.243
Mg: 0.667 0.333 0.757
Mg: 0.674 0.837 0.275
Mg: 0.674 0.837 0.725
Mg: 0.992 0.496 0.500
Mn: 0.000 0.000 0.500

Main lines, by angle (2θ = 10–90°):
- 2θ = 15.82°, intensity 7.1
- 2θ = 23.59°, intensity 4.1
- 2θ = 31.95°, intensity 25.9
- 2θ = 35.20°, intensity 22.3
- 2θ = 36.61°, intensity 100.0
- 2θ = 48.27°, intensity 14.2
- 2θ = 56.95°, intensity 17.6
- 2θ = 64.09°, intensity 13.5
- 2θ = 68.74°, intensity 16.7
- 2θ = 69.63°, intensity 13.3



The following is a theoretical PXRD pattern of KMg6Mn. It was derived from the PBE geometry in the Materials Project, using Cu Kα, 1.54184 Å.

Structural model:
Cell lengths 5.073, 6.577, 11.542 Å; angles 90.00, 90.00, 90.00 degrees
Positions (direct):
K: 0.000 0.000 0.000
K: 0.000 0.500 0.500
Mg: 0.000 0.000 0.503
Mg: 0.000 0.224 0.243
Mg: 0.000 0.276 0.743
Mg: 0.000 0.500 0.003
Mg: 0.000 0.724 0.743
Mg: 0.000 0.776 0.243
Mg: 0.500 0.000 0.670
Mg: 0.500 0.226 0.404
Mg: 0.500 0.274 0.904
Mg: 0.500 0.500 0.170
Mg: 0.500 0.726 0.904
Mg: 0.500 0.774 0.404
Mn: 0.500 0.000 0.205
Mn: 0.500 0.500 0.705

Main lines, by angle (2θ = 10–90°):
- 2θ = 15.51°, intensity 18.5
- 2θ = 23.35°, intensity 11.7
- 2θ = 30.99°, intensity 17.3
- 2θ = 31.31°, intensity 16.1
- 2θ = 35.39°, intensity 35.0
- 2θ = 35.80°, intensity 32.9
- 2θ = 36.08°, intensity 100.0
- 2θ = 55.33°, intensity 10.3
- 2θ = 63.97°, intensity 16.7
- 2θ = 67.43°, intensity 14.9